TmN: computed X-ray diffraction stick pattern (a wavelength of 1.5418 Å), based on a PBE-relaxed structure.
Intensities are scaled so that the largest is 1000.

Structural model:
a b c (Å): 4.8124 4.8124 4.8124
angles (deg): 90.00 90.00 90.00
Space group Fm-3m (No. 225)
Inequivalent atoms, fractional coordinates:
Tm: 0.0000 0.0000 0.0000
N: 0.0000 0.0000 0.5000

Principal peaks in the range 2θ = 10–90°, in order of rising 2θ:
- 2θ 32.2, I 1000, hkl 1 1 1
- 2θ 37.4, I 699, hkl 2 0 0
- 2θ 53.9, I 479, hkl 2 2 0
- 2θ 64.2, I 442, hkl 3 1 1
- 2θ 67.4, I 161, hkl 2 2 2
- 2θ 88.6, I 195, hkl 3 3 1